1.
This entry pairs a crystal structure of CuMoO4 with its simulated X-ray diffraction stick pattern. Radiation: a wavelength of 1.5418 Å. Structure: the GGA+U geometry in the Materials Project.
Intensities are scaled so that the largest is 100.

Atomic structure:
```
data_CuMoO4
_cell_length_a 6.382
_cell_length_b 7.307
_cell_length_c 7.512
_cell_angle_alpha 73.92
_cell_angle_beta 73.05
_cell_angle_gamma 85.03
_space_group_name_H-M_alt 'P -1'
_space_group_IT_number 2
loop_
_space_group_symop_operation_xyz
'x,y,z'
'-x,-y,-z'
loop_
_atom_site_label
_atom_site_fract_x
_atom_site_fract_y
_atom_site_fract_z
Cu1 0.186 0.188 0.160
Cu2 0.192 0.799 0.503
Mo1 0.216 0.231 0.639
Mo2 0.217 0.775 0.996
O1 0.131 0.190 0.428
O2 0.139 0.862 0.753
O3 0.141 0.809 0.252
O4 0.144 0.151 0.923
O5 0.201 0.531 0.043
O6 0.214 0.476 0.595
O7 0.498 0.169 0.578
O8 0.499 0.175 0.086
```

Principal peaks in the range 5° ≤ 2θ ≤ 70°, low angle first:
2θ (°)  I (rel.)  (hkl)
12.61  43  0 1 0
14.51  48  1 0 0
25.37  100  0 2 0
25.49  47  0 1 2
25.74  41  0 0 2
29.26  61  2 0 0
31.10  32  0 2 2
31.72  32  1 -1 2
32.98  32  -1 1 2
38.46  33  0 3 0
44.53  26  3 0 0
48.48  33  1 1 4

2.
This entry pairs a crystal structure of Li5Ni4O8 with its simulated X-ray diffraction stick pattern. Radiation: a wavelength of 1.5418 Å. Structure: the GGA+U geometry in the Materials Project.
Intensities are scaled so that the largest is 100.

Atomic structure:
```
data_Li5Ni4O8
_cell_length_a 5.744
_cell_length_b 5.972
_cell_length_c 9.627
_cell_angle_alpha 90.01
_cell_angle_beta 90.03
_cell_angle_gamma 118.58
_space_group_name_H-M_alt 'P 1'
_space_group_IT_number 1
loop_
_space_group_symop_operation_xyz
'x,y,z'
loop_
_atom_site_label
_atom_site_fract_x
_atom_site_fract_y
_atom_site_fract_z
Li1 0.000 0.000 0.000
Li2 0.019 0.604 0.987
Li3 0.138 0.845 0.224
Li4 0.199 0.393 0.499
Li5 0.434 0.995 0.001
Li6 0.492 0.552 0.724
Li7 0.612 0.790 0.485
Li8 0.632 0.397 0.500
Li9 0.799 0.171 0.427
Li10 0.826 0.225 0.927
Ni1 0.144 0.350 0.228
Ni2 0.151 0.868 0.475
Ni3 0.483 0.534 0.975
Ni4 0.486 0.046 0.728
Ni5 0.635 0.839 0.229
Ni6 0.638 0.351 0.228
Ni7 0.992 0.047 0.728
Ni8 0.994 0.555 0.728
O1 0.165 0.389 0.853
O2 0.165 0.887 0.841
O3 0.309 0.716 0.598
O4 0.315 0.673 0.099
O5 0.316 0.184 0.609
O6 0.327 0.215 0.109
O7 0.461 0.006 0.355
O8 0.474 0.504 0.342
O9 0.655 0.899 0.846
O10 0.658 0.395 0.853
O11 0.793 0.679 0.096
O12 0.802 0.188 0.122
O13 0.817 0.216 0.623
O14 0.843 0.722 0.599
O15 0.961 0.496 0.344
O16 0.979 0.011 0.356
```

Principal peaks in the range 5° ≤ 2θ ≤ 70°, low angle first:
2θ (°)  I (rel.)  (hkl)
18.43  74  0 0 2
19.27  53  0 1 1
19.89  100  -1 1 1
25.59  27  -1 1 2
35.37  55  1 1 2
35.48  47  0 2 -1
36.88  49  2 0 -1
40.41  34  2 0 -2
44.63  55  0 2 3
45.79  89  2 0 3
52.59  42  2 -2 4
60.53  37  2 0 -5

3.
This entry pairs a crystal structure of Co6OF11 with its simulated X-ray diffraction stick pattern. Radiation: a wavelength of 1.5418 Å. Structure: the GGA+U geometry in the Materials Project.
Intensities are scaled so that the largest is 100.

Atomic structure:
```
data_Co6OF11
_cell_length_a 4.751
_cell_length_b 5.706
_cell_length_c 7.897
_cell_angle_alpha 86.74
_cell_angle_beta 89.60
_cell_angle_gamma 89.53
_space_group_name_H-M_alt 'P 1'
_space_group_IT_number 1
loop_
_space_group_symop_operation_xyz
'x,y,z'
loop_
_atom_site_label
_atom_site_fract_x
_atom_site_fract_y
_atom_site_fract_z
Co1 0.000 0.000 0.000
Co2 0.002 0.692 0.306
Co3 0.017 0.338 0.645
Co4 0.509 0.841 0.650
Co5 0.517 0.502 0.979
Co6 0.531 0.161 0.309
O1 0.804 0.977 0.218
F1 0.203 0.039 0.758
F2 0.213 0.379 0.409
F3 0.218 0.703 0.079
F4 0.310 0.877 0.418
F5 0.314 0.207 0.082
F6 0.316 0.540 0.748
F7 0.704 0.142 0.551
F8 0.712 0.472 0.212
F9 0.714 0.801 0.880
F10 0.815 0.641 0.545
F11 0.817 0.301 0.881
```

Principal peaks in the range 5° ≤ 2θ ≤ 70°, low angle first:
2θ (°)  I (rel.)  (hkl)
26.40  90  1 1 1
26.69  88  -1 1 1
34.09  100  1 -1 2
37.89  15  0 2 2
39.05  17  1 0 3
39.25  16  1 -2 1
51.72  60  2 0 3
52.04  55  2 -2 1
54.36  18  2 2 2
54.98  17  -2 2 2
58.43  18  0 2 -4
66.00  30  0 4 1